# HfCuPd
Calculated X-ray diffraction stick pattern, copper Kα. Input: DFT lattice parameters and positions (GGA-PBE).
Kinematic intensities with the Lorentz-polarization factor, no thermal factor.

Peak list (8 most intense, 2θ from 5° to 70°, low angle first)
2theta	I_rel
21.0	8
28.4	18
37.6	67
41.7	100
43.5	5
54.3	23
62.4	4
66.2	6

Structure:
```
HfCuPd
1.0
3.380 0.000 0.000
0.000 3.380 0.000
0.000 0.000 8.476
Hf Cu Pd
2 2 2
Cartesian
0.000 0.000 0.000
1.690 1.690 4.238
0.000 0.000 2.853
0.000 0.000 5.623
1.690 1.690 1.469
1.690 1.690 7.007
```

# HfCuPd
Calculated X-ray diffraction stick pattern, copper Kα. Input: DFT lattice parameters and positions (GGA-PBE).
Kinematic intensities with the Lorentz-polarization factor, no thermal factor.

Peak list (8 most intense, 2θ from 5° to 70°, low angle first)
2theta	I_rel
21.2	11
28.2	16
37.3	71
41.8	100
43.3	8
53.7	24
61.7	8
67.1	6

Structure:
```
HfCuPd
1.0
3.413 0.000 0.000
0.000 3.413 0.000
0.000 0.000 8.370
Hf Cu Pd
2 2 2
Cartesian
0.853 0.853 2.083
2.560 2.560 6.287
0.853 0.853 7.746
2.560 2.560 0.623
0.853 0.853 4.999
2.560 2.560 3.371
```

# RbHfCu3S4
Calculated X-ray diffraction stick pattern, copper Kα. Input: DFT lattice parameters and positions (GGA-PBE).
Kinematic intensities with the Lorentz-polarization factor, no thermal factor.

Peak list (8 most intense, 2θ from 5° to 70°, low angle first)
2theta	I_rel
9.3	100
15.2	93
22.2	29
30.6	42
34.6	27
43.8	41
45.0	26
50.3	30

Structure:
```
RbHfCu3S4
1.0
5.713 0.000 0.000
0.000 7.387 0.000
-2.452 0.000 9.548
Rb Hf Cu S
2 2 6 8
Cartesian
0.341 1.847 3.652
2.920 5.540 5.896
-1.211 1.847 7.673
4.472 5.540 1.875
1.575 4.019 0.148
1.575 7.061 0.148
1.686 5.540 2.277
1.575 1.847 7.271
1.686 0.326 9.400
1.686 3.368 9.400
0.154 1.847 0.300
0.093 5.540 3.843
0.266 3.756 7.583
0.266 7.325 7.583
2.995 0.062 1.965
2.995 3.632 1.965
3.168 1.847 5.705
3.107 5.540 9.248
```

# Hf2CuRe
Calculated X-ray diffraction stick pattern, copper Kα. Input: DFT lattice parameters and positions (GGA-PBE).
Kinematic intensities with the Lorentz-polarization factor, no thermal factor.

Peak list (8 most intense, 2θ from 5° to 70°, low angle first)
2theta	I_rel
23.6	9
27.4	3
39.1	100
46.2	5
48.4	1
56.5	17
62.1	2
63.9	1

Structure:
```
Hf2CuRe
1.0
0.000 3.259 3.259
3.259 0.000 3.259
3.259 3.259 0.000
Hf Cu Re
2 1 1
Cartesian
1.630 1.630 1.630
4.889 4.889 4.889
0.000 0.000 0.000
3.259 3.259 3.259
```

# Hf3CuSb5
Calculated X-ray diffraction stick pattern, copper Kα. Input: DFT lattice parameters and positions (GGA-PBE).
Kinematic intensities with the Lorentz-polarization factor, no thermal factor.

Peak list (8 most intense, 2θ from 5° to 70°, low angle first)
2theta	I_rel
11.0	87
17.2	29
30.0	37
33.3	36
34.8	22
36.6	75
41.5	100
62.4	26

Structure:
```
Hf3CuSb5
1.0
5.957 0.000 0.000
-2.979 5.159 0.000
0.000 0.000 8.072
Hf Cu Sb
3 1 5
Cartesian
-1.489 2.579 0.000
2.979 0.000 0.000
1.489 2.579 0.000
0.000 0.000 4.036
0.000 0.000 0.000
0.000 3.439 2.449
0.000 3.439 5.622
2.979 1.720 2.449
2.979 1.720 5.622
```

# Hf3Cu4Sb4
Calculated X-ray diffraction stick pattern, copper Kα. Input: DFT lattice parameters and positions (GGA-PBE).
Kinematic intensities with the Lorentz-polarization factor, no thermal factor.

Peak list (8 most intense, 2θ from 5° to 70°, low angle first)
2theta	I_rel
16.2	15
25.2	18
29.1	45
29.4	22
41.7	51
41.8	100
51.8	19
60.4	16

Structure:
```
Hf3Cu4Sb4
1.0
-3.066 3.066 6.080
3.066 -3.066 6.080
3.066 3.066 -6.080
Hf Cu Sb
3 4 4
Cartesian
0.000 0.000 0.000
3.066 0.000 3.040
0.000 3.066 3.040
1.422 -1.422 4.687
1.645 1.645 1.392
-1.422 1.422 4.687
1.422 1.422 7.472
3.066 0.000 0.000
0.000 0.000 3.044
0.000 3.066 0.000
0.000 0.000 9.115
```

# HfScCu6
Calculated X-ray diffraction stick pattern, copper Kα. Input: DFT lattice parameters and positions (GGA-PBE).
Kinematic intensities with the Lorentz-polarization factor, no thermal factor.

Peak list (8 most intense, 2θ from 5° to 70°, low angle first)
2theta	I_rel
16.0	18
32.4	15
38.0	30
39.2	11
40.6	41
43.3	100
44.3	50
56.8	18

Structure:
```
HfScCu6
1.0
4.443 0.000 0.000
0.000 5.526 0.000
0.000 0.000 4.601
Hf Sc Cu
1 1 6
Cartesian
0.000 0.000 0.000
2.221 2.763 3.213
0.000 1.414 2.324
0.000 2.763 0.179
0.000 4.111 2.324
2.221 0.000 3.046
2.221 1.332 0.878
2.221 4.193 0.878
```

# HfCu2TeSe2
Calculated X-ray diffraction stick pattern, copper Kα. Input: DFT lattice parameters and positions (GGA-PBE).
Kinematic intensities with the Lorentz-polarization factor, no thermal factor.

Peak list (8 most intense, 2θ from 5° to 70°, low angle first)
2theta	I_rel
9.1	41
12.5	98
14.2	41
26.3	76
30.1	100
39.9	43
44.1	90
45.7	48

Structure:
```
HfCu2TeSe2
1.0
9.890 -1.985 0.000
9.890 1.985 0.000
-1.139 0.000 7.109
Hf Cu Te Se
2 4 2 4
Cartesian
2.718 0.000 0.340
15.923 0.000 6.768
3.675 0.000 3.028
8.025 0.000 5.984
10.616 0.000 1.125
14.966 0.000 4.081
4.062 0.000 5.593
14.579 0.000 1.516
1.282 0.000 2.451
8.108 0.000 1.131
10.533 0.000 5.978
17.359 0.000 4.658
```

# YHf2Cu4Si4
Calculated X-ray diffraction stick pattern, copper Kα. Input: DFT lattice parameters and positions (GGA-PBE).
Kinematic intensities with the Lorentz-polarization factor, no thermal factor.

Peak list (8 most intense, 2θ from 5° to 70°, low angle first)
2theta	I_rel
26.5	33
36.5	92
36.9	34
38.3	100
41.3	26
41.5	34
46.2	34
46.8	34

Structure:
```
YHf2Cu4Si4
1.0
-1.966 3.252 6.564
1.966 -3.252 6.564
1.966 3.252 -6.564
Y Hf Cu Si
1 2 4 4
Cartesian
0.000 0.000 0.000
1.966 0.000 4.937
0.000 3.252 1.627
1.966 1.257 -2.248
1.966 1.257 2.248
0.000 1.995 4.316
0.000 1.995 8.812
0.000 0.000 2.892
1.966 2.065 0.000
0.000 1.187 6.564
0.000 0.000 10.235
```

# HfCuSn2
Calculated X-ray diffraction stick pattern, copper Kα. Input: DFT lattice parameters and positions (GGA-PBE).
Kinematic intensities with the Lorentz-polarization factor, no thermal factor.

Peak list (8 most intense, 2θ from 5° to 70°, low angle first)
2theta	I_rel
22.0	6
25.4	6
36.2	100
42.8	3
44.8	2
52.2	18
58.9	3
65.2	37

Structure:
```
HfCuSn2
1.0
0.000 3.506 3.506
3.506 0.000 3.506
3.506 3.506 0.000
Hf Cu Sn
1 1 2
Cartesian
0.000 0.000 0.000
5.259 5.259 5.259
1.753 1.753 1.753
3.506 3.506 3.506
```

# Hf3Cu4Sn4
Calculated X-ray diffraction stick pattern, copper Kα. Input: DFT lattice parameters and positions (GGA-PBE).
Kinematic intensities with the Lorentz-polarization factor, no thermal factor.

Peak list (8 most intense, 2θ from 5° to 70°, low angle first)
2theta	I_rel
11.5	16
27.5	25
36.2	17
36.6	100
36.9	82
40.8	100
41.4	50
56.7	29

Structure:
```
Hf3Cu4Sn4
1.0
6.387 0.000 0.000
0.000 4.359 0.000
-0.145 0.000 7.695
Hf Cu Sn
3 4 4
Cartesian
0.000 0.000 0.000
-0.004 2.180 3.606
3.100 0.000 7.562
1.078 2.180 6.304
1.641 0.000 2.470
4.811 2.180 1.126
5.243 0.000 5.014
1.744 2.180 1.188
1.701 0.000 4.991
4.509 0.000 2.545
4.582 2.180 6.158
```

# HfTaZnCu
Calculated X-ray diffraction stick pattern, copper Kα. Input: DFT lattice parameters and positions (GGA-PBE).
Kinematic intensities with the Lorentz-polarization factor, no thermal factor.

Peak list (5 most intense, 2θ from 5° to 70°, low angle first)
2theta	I_rel
23.6	22
39.1	100
46.2	12
56.5	17
62.1	5

Structure:
```
HfTaZnCu
1.0
0.000 3.258 3.258
3.258 0.000 3.258
3.258 3.258 0.000
Hf Ta Zn Cu
1 1 1 1
Cartesian
0.000 0.000 0.000
1.629 1.629 1.629
3.258 3.258 3.258
4.887 4.887 4.887
```